For Hf7TlSn2, a cell relaxed with GGA-PBE gives the calculated X-ray diffraction stick pattern in this record (CuKα).
No peak broadening, texture or thermal motion is included.

Atomic structure:
```
data_Hf7TlSn2
_chemical_formula_sum 'Hf14 Tl2 Sn4'
_cell_length_a 7.972
_cell_length_b 14.113
_cell_length_c 5.000
_cell_angle_alpha 90.00
_cell_angle_beta 90.00
_cell_angle_gamma 90.00
_symmetry_space_group_name_H-M 'C m m m'
_symmetry_Int_Tables_number 65
_symmetry_space_group_name_Hall '-C 2 2'
loop_
_atom_site_label
_atom_site_fract_x
_atom_site_fract_y
_atom_site_fract_z
_atom_site_occupancy
Hf1 0.000 0.000 0.000 1
Hf2 0.000 0.287 0.500 1
Hf3 0.176 0.387 0.000 1
Tl1 0.000 0.500 0.500 1
Sn1 0.000 0.200 0.000 1
```

Peak list (10 most intense, 2θ from 10° to 90°, sorted by position)
| 2θ (°) | d [Å] | I_rel | index |
| --- | --- | --- | --- |
| 12.75 | 6.941 | 33 | 1 1 0 |
| 17.74 | 5.000 | 37 | 0 0 1 |
| 21.91 | 4.056 | 28 | 1 1 1 |
| 31.02 | 2.883 | 40 | 0 4 1 |
| 33.93 | 2.642 | 51 | 2 4 0 |
| 35.92 | 2.500 | 55 | 0 0 2 |
| 38.32 | 2.349 | 100 | 1 5 1 |
| 38.91 | 2.315 | 75 | 3 1 1 |
| 50.24 | 1.816 | 34 | 2 4 2 |
| 66.17 | 1.412 | 27 | 0 10 0 |

***

For TbEuInPb, a cell relaxed with GGA-PBE gives the calculated X-ray diffraction stick pattern in this record (CuKα).
No peak broadening, texture or thermal motion is included.

Atomic structure:
```
data_TbEuInPb
_chemical_formula_sum 'Tb4 Eu4 In4 Pb4'
_cell_length_a 7.774
_cell_length_b 7.774
_cell_length_c 7.774
_cell_angle_alpha 90.00
_cell_angle_beta 90.00
_cell_angle_gamma 90.00
_symmetry_space_group_name_H-M 'F -4 3 m'
_symmetry_Int_Tables_number 216
_symmetry_space_group_name_Hall 'F -4 2 3'
loop_
_atom_site_label
_atom_site_fract_x
_atom_site_fract_y
_atom_site_fract_z
_atom_site_occupancy
Tb1 0.000 0.000 0.000 1
Eu1 0.000 0.000 0.500 1
In1 0.250 0.250 0.750 1
Pb1 0.250 0.250 0.250 1
```

Peak list (10 most intense, 2θ from 10° to 90°, sorted by position)
| 2θ (°) | d [Å] | I_rel | index |
| --- | --- | --- | --- |
| 19.78 | 4.488 | 4 | 1 1 1 |
| 32.58 | 2.749 | 100 | 2 2 0 |
| 38.40 | 2.344 | 3 | 3 1 1 |
| 46.74 | 1.943 | 18 | 4 0 0 |
| 51.22 | 1.783 | 1 | 3 3 1 |
| 58.13 | 1.587 | 38 | 4 2 2 |
| 68.25 | 1.374 | 12 | 4 4 0 |
| 71.84 | 1.314 | 1 | 5 3 1 |
| 77.69 | 1.229 | 17 | 6 2 0 |
| 86.79 | 1.122 | 4 | 4 4 4 |